Diffraction record for P2WO2. The PXRD pattern is calculated, not measured: it uses a cell relaxed with PBE+U and a wavelength of 1.5418 Å.
Kinematic intensities with the Lorentz-polarization factor, no thermal factor.

Cell and atoms:
a = 3.813 Å, b = 3.813 Å, c = 5.456 Å
α = 90.00°, β = 90.00°, γ = 90.00°
Positions (direct):
P  0.000  0.000  0.000
P  0.500  0.500  0.000
W  0.000  0.000  0.500
O  0.000  0.500  0.500
O  0.500  0.000  0.500

Top 10 peaks for 10 to 80 degrees two-theta, by angle:
16.25 deg, I = 66, hkl 0 0 1
23.33 deg, I = 82, hkl 1 0 0
28.56 deg, I = 100, hkl 1 0 1
32.83 deg, I = 41, hkl 0 0 2
33.23 deg, I = 45, hkl 1 1 0
40.67 deg, I = 39, hkl 1 0 2
47.41 deg, I = 34, hkl 1 1 2
47.71 deg, I = 27, hkl 2 0 0
56.55 deg, I = 30, hkl 2 1 1
59.12 deg, I = 28, hkl 2 0 2